# 1
For LiMnCuO4, a structure optimized by DFT (GGA+U) gives the computed powder diffraction line list in this record (Cu Kα X-rays).
Lines closer than 0.1° are merged.

Largest 10 diffraction maxima, by intensity, 2θ from 5° to 70°:
18.6°, d 4.765, I = 100
18.4°, d 4.810, I = 90
44.1°, d 2.054, I = 67
63.1°, d 1.473, I = 42
42.8°, d 2.112, I = 37
36.0°, d 2.493, I = 36
35.4°, d 2.533, I = 35
36.3°, d 2.474, I = 25
58.1°, d 1.587, I = 14
37.4°, d 2.405, I = 14

Structural model:
```
LiMnCuO4
1.0
-2.885 2.926 4.224
2.885 -2.926 4.224
2.885 2.926 -4.224
Li Mn Cu O
2 2 2 8
Cartesian
0.000 1.463 1.020 Li
2.885 1.463 3.204 Li
1.443 1.463 -2.112 Mn
1.443 -1.463 2.112 Mn
2.885 0.000 0.000 Cu
0.000 0.000 4.224 Cu
2.885 2.746 -2.119 O
2.885 -0.179 2.119 O
1.575 1.463 -0.187 O
4.196 1.463 -0.187 O
-1.310 1.463 4.410 O
1.310 1.463 4.410 O
0.000 3.105 2.105 O
0.000 0.179 6.343 O
```

---

# 2
For Cs3Mo4P3O16, a structure optimized by DFT (GGA+U) gives the computed powder diffraction line list in this record (Cu Kα X-rays).
Lines closer than 0.1° are merged.

Largest 10 diffraction maxima, by intensity, 2θ from 5° to 70°:
11.2°, d 7.869, I = 100
19.5°, d 4.543, I = 69
22.6°, d 3.934, I = 65
32.2°, d 2.782, I = 45
47.7°, d 1.908, I = 34
36.1°, d 2.488, I = 33
27.8°, d 3.212, I = 28
34.2°, d 2.623, I = 27
43.0°, d 2.103, I = 25
67.3°, d 1.391, I = 23

Structural model:
```
Cs3Mo4P3O16
1.0
7.869 0.000 0.000
0.000 7.869 0.000
0.000 0.000 7.869
Cs Mo P O
3 4 3 16
Cartesian
0.000 0.000 3.934 Cs
0.000 3.934 0.000 Cs
3.934 0.000 0.000 Cs
3.005 3.005 3.005 Mo
3.005 4.864 4.864 Mo
4.864 3.005 4.864 Mo
4.864 4.864 3.005 Mo
0.000 3.934 3.934 P
3.934 0.000 3.934 P
3.934 3.934 0.000 P
0.871 3.018 3.018 O
0.871 4.851 4.851 O
2.810 2.810 5.059 O
2.810 5.059 2.810 O
3.018 0.871 3.018 O
3.018 3.018 0.871 O
3.018 4.851 6.997 O
3.018 6.997 4.851 O
4.851 0.871 4.851 O
4.851 3.018 6.997 O
4.851 4.851 0.871 O
4.851 6.997 3.018 O
5.059 2.810 2.810 O
5.059 5.059 5.059 O
6.997 3.018 4.851 O
6.997 4.851 3.018 O
```

---

# 3
For MgMn3CuO8, a structure optimized by DFT (GGA+U) gives the computed powder diffraction line list in this record (Cu Kα X-rays).
Lines closer than 0.1° are merged.

Largest 10 diffraction maxima, by intensity, 2θ from 5° to 70°:
18.2°, d 4.869, I = 100
44.1°, d 2.053, I = 49
41.1°, d 2.196, I = 28
18.5°, d 4.788, I = 16
36.1°, d 2.489, I = 15
62.4°, d 1.489, I = 14
61.4°, d 1.510, I = 14
37.0°, d 2.428, I = 11
35.9°, d 2.499, I = 8
34.3°, d 2.617, I = 8

Structural model:
```
MgMn3CuO8
1.0
5.212 -2.914 0.000
5.212 2.914 0.000
-3.115 0.000 4.877
Mg Mn Cu O
1 3 1 8
Cartesian
0.000 0.000 0.000 Mg
2.606 1.457 0.000 Mn
2.606 -1.457 0.000 Mn
3.654 0.000 2.439 Mn
5.212 0.000 0.000 Cu
1.819 0.000 0.997 O
4.213 1.351 1.097 O
0.300 0.000 3.889 O
3.096 1.351 3.780 O
4.213 -1.351 1.097 O
7.009 0.000 0.988 O
3.096 -1.351 3.780 O
5.490 0.000 3.881 O
```

---

# 4
For Y2Mn3O9, a structure optimized by DFT (GGA+U) gives the computed powder diffraction line list in this record (Cu Kα X-rays).
Lines closer than 0.1° are merged.

Largest 10 diffraction maxima, by intensity, 2θ from 5° to 70°:
30.4°, d 2.937, I = 100
33.1°, d 2.703, I = 78
18.5°, d 4.806, I = 69
52.3°, d 1.749, I = 58
29.8°, d 2.997, I = 39
61.4°, d 1.510, I = 30
48.4°, d 1.881, I = 23
42.4°, d 2.130, I = 21
28.1°, d 3.179, I = 20
22.5°, d 3.948, I = 20

Structural model:
```
Y2Mn3O9
1.0
6.058 0.000 0.000
-3.029 5.246 0.000
0.000 0.000 11.988
Y Mn O
4 6 18
Cartesian
0.000 0.000 0.000 Y
0.000 0.000 5.994 Y
0.000 3.498 5.439 Y
3.029 1.749 11.433 Y
-0.984 1.762 8.715 Mn
-1.011 5.218 8.715 Mn
1.034 1.734 2.721 Mn
1.995 3.513 8.715 Mn
4.040 0.029 2.721 Mn
4.013 3.484 2.721 Mn
0.000 0.000 2.415 O
0.000 0.000 8.409 O
-2.058 3.784 4.555 O
-0.884 1.952 6.876 O
0.781 1.572 4.555 O
1.752 0.110 10.549 O
-0.897 5.036 6.876 O
0.000 3.498 2.865 O
0.000 3.498 8.942 O
1.248 1.742 0.882 O
1.781 3.505 6.876 O
3.029 1.749 2.948 O
3.029 1.749 8.859 O
3.926 0.210 0.882 O
1.277 5.137 4.555 O
2.248 3.674 10.549 O
3.913 3.295 0.882 O
5.087 1.462 10.549 O
```

---

# 5
For Lu2WO6, a structure optimized by DFT (GGA+U) gives the computed powder diffraction line list in this record (Cu Kα X-rays).
Lines closer than 0.1° are merged.

Largest 10 diffraction maxima, by intensity, 2θ from 5° to 70°:
28.9°, d 3.087, I = 100
29.6°, d 3.019, I = 88
48.8°, d 1.867, I = 24
47.9°, d 1.900, I = 24
32.9°, d 2.726, I = 23
33.8°, d 2.649, I = 23
35.0°, d 2.563, I = 20
48.6°, d 1.873, I = 15
57.2°, d 1.612, I = 14
58.7°, d 1.572, I = 13

Structural model:
```
Lu2WO6
1.0
8.055 -5.452 0.000
8.055 5.452 0.000
-1.579 0.000 5.061
Lu W O
8 4 24
Cartesian
1.329 1.243 4.460 Lu
6.871 4.321 3.796 Lu
2.118 -1.243 1.930 Lu
7.660 1.477 1.265 Lu
6.871 -1.477 3.796 Lu
12.412 1.243 3.131 Lu
7.660 -4.321 1.265 Lu
13.202 -1.243 0.601 Lu
4.681 1.604 2.874 W
5.471 -1.604 0.343 W
9.060 1.604 4.718 W
9.849 -1.604 2.187 W
3.882 2.266 1.297 O
1.341 0.188 0.395 O
0.551 -0.188 2.926 O
6.179 2.907 2.132 O
5.023 2.427 4.512 O
3.226 0.527 3.289 O
9.141 2.907 0.398 O
4.016 -0.527 0.759 O
8.718 2.427 3.080 O
5.998 0.349 2.626 O
6.788 -0.349 0.096 O
3.092 -2.266 3.827 O
11.438 2.266 1.234 O
7.743 0.349 4.965 O
8.532 -0.349 2.435 O
5.812 -2.427 1.981 O
10.515 0.527 4.302 O
5.390 -2.907 4.663 O
11.304 -0.527 1.772 O
9.508 -2.427 0.549 O
8.351 -2.907 2.928 O
13.979 0.188 2.135 O
13.190 -0.188 4.666 O
10.649 -2.266 3.764 O
```

---

# 6
For Li5Fe8B8O24, a structure optimized by DFT (GGA+U) gives the computed powder diffraction line list in this record (Cu Kα X-rays).
Lines closer than 0.1° are merged.

Largest 10 diffraction maxima, by intensity, 2θ from 5° to 70°:
21.6°, d 4.110, I = 100
35.4°, d 2.539, I = 95
19.6°, d 4.527, I = 78
34.2°, d 2.625, I = 62
26.7°, d 3.342, I = 40
26.0°, d 3.421, I = 32
34.4°, d 2.609, I = 31
25.9°, d 3.445, I = 27
40.6°, d 2.223, I = 27
21.4°, d 4.146, I = 27

Structural model:
```
Li5Fe8B8O24
1.0
5.258 0.000 0.000
0.059 9.052 0.000
0.317 0.078 10.157
Li Fe B O
5 8 8 24
Cartesian
0.000 0.000 0.000 Li
0.161 0.284 5.091 Li
1.301 4.824 7.648 Li
2.702 4.633 0.097 Li
3.693 0.117 2.659 Li
0.214 3.379 5.356 Fe
0.108 6.081 0.407 Fe
1.212 1.703 7.937 Fe
1.119 7.639 2.832 Fe
2.644 1.587 0.322 Fe
2.870 7.689 5.429 Fe
3.637 3.257 2.938 Fe
3.940 6.352 7.987 Fe
0.059 3.116 0.329 B
0.307 6.314 5.499 B
0.985 1.725 2.923 B
1.272 7.747 7.980 B
2.834 1.657 5.384 B
2.750 7.689 0.403 B
3.806 3.231 7.999 B
3.728 6.213 2.926 B
0.296 2.898 3.218 O
0.347 0.513 3.042 O
0.655 8.967 8.183 O
0.649 6.568 8.364 O
0.912 1.954 10.053 O
0.940 7.504 5.076 O
0.985 5.155 5.679 O
0.820 4.234 0.246 O
1.498 1.695 5.862 O
1.384 7.746 0.669 O
2.522 7.688 7.397 O
2.344 1.783 2.548 O
3.092 2.057 8.298 O
3.191 4.439 8.149 O
3.034 5.032 2.906 O
3.111 7.408 3.386 O
3.651 6.581 10.143 O
3.473 2.816 4.969 O
3.486 0.447 5.288 O
3.516 8.837 0.608 O
3.987 3.146 0.803 O
4.219 6.398 5.816 O
5.010 6.292 2.469 O
5.159 3.130 7.604 O
```

---

# 7
For Li5Mn5O12, a structure optimized by DFT (GGA+U) gives the computed powder diffraction line list in this record (Cu Kα X-rays).
Lines closer than 0.1° are merged.

Largest 10 diffraction maxima, by intensity, 2θ from 5° to 70°:
17.3°, d 5.139, I = 100
8.6°, d 10.277, I = 9
42.7°, d 2.118, I = 8
42.6°, d 2.125, I = 8
36.4°, d 2.467, I = 8
42.3°, d 2.137, I = 8
45.2°, d 2.006, I = 7
37.1°, d 2.424, I = 7
46.1°, d 1.968, I = 7
37.9°, d 2.373, I = 7

Structural model:
```
Li5Mn5O12
1.0
5.039 0.000 0.000
2.459 4.474 0.000
1.377 0.143 10.277
Li Mn O
5 5 12
Cartesian
0.000 0.000 0.000 Li
2.092 1.555 8.154 Li
4.613 3.198 8.131 Li
4.262 1.419 2.147 Li
6.782 3.062 2.124 Li
3.155 3.057 5.137 Mn
2.497 1.453 0.001 Mn
3.208 0.072 5.139 Mn
6.377 3.163 10.276 Mn
5.719 1.560 5.141 Mn
2.976 2.952 9.207 O
2.270 1.698 6.199 O
1.503 0.082 4.182 O
3.379 2.808 1.077 O
3.103 0.140 9.226 O
4.830 3.024 6.135 O
4.044 1.592 4.143 O
5.771 4.477 1.051 O
5.495 1.809 9.200 O
7.371 4.535 6.096 O
6.604 2.919 4.079 O
5.899 1.665 1.071 O
```

---

# 8
For MgVCr2Fe3P6O24, a structure optimized by DFT (GGA+U) gives the computed powder diffraction line list in this record (Cu Kα X-rays).
Lines closer than 0.1° are merged.

Largest 10 diffraction maxima, by intensity, 2θ from 5° to 70°:
20.4°, d 4.361, I = 100
31.7°, d 2.821, I = 44
31.9°, d 2.802, I = 36
20.5°, d 4.336, I = 32
23.4°, d 3.802, I = 30
32.4°, d 2.761, I = 30
24.4°, d 3.650, I = 29
24.3°, d 3.668, I = 28
23.9°, d 3.723, I = 28
35.7°, d 2.514, I = 26

Structural model:
```
MgVCr2Fe3P6O24
1.0
8.490 0.000 0.000
-4.192 7.534 0.000
-4.026 -2.657 7.255
Mg V Cr Fe P O
1 1 2 3 6 24
Cartesian
0.000 0.000 0.000 Mg
1.988 1.892 5.179 V
-4.050 0.515 6.239 Cr
-4.166 5.555 2.739 Cr
-1.704 4.038 3.671 Fe
2.535 1.677 0.147 Fe
5.967 -0.503 1.596 Fe
-1.352 5.914 0.793 P
0.087 1.514 2.374 P
-1.105 2.180 6.473 P
1.606 -1.349 6.011 P
1.340 5.187 4.383 P
4.298 2.070 2.916 P
-3.071 -1.420 5.680 O
-3.593 3.503 3.058 O
-0.524 0.053 2.096 O
-5.293 2.218 6.895 O
-2.140 7.184 0.326 O
-2.165 5.359 1.997 O
0.643 1.812 0.923 O
-0.947 2.590 2.626 O
-2.017 0.927 6.732 O
-2.744 5.468 4.659 O
-1.738 2.989 5.348 O
0.087 6.277 1.172 O
1.107 1.322 3.465 O
0.186 -1.103 6.532 O
-0.076 5.070 3.840 O
3.191 2.166 1.860 O
0.333 1.749 6.200 O
2.438 -2.156 7.060 O
3.061 5.711 0.525 O
2.438 -0.044 5.822 O
1.926 3.861 4.840 O
5.355 1.029 2.536 O
3.758 1.648 4.304 O
2.271 5.822 3.292 O
```